This entry pairs a crystal structure of NaGa6 with its calculated PXRD pattern. Radiation: Cu Ka. Structure: a DFT-relaxed cell (PBE, Alexandria).

Principal peaks in the range 2θ = 5–70°, sorted by position:
2θ (°), Rel. int., hkl
11.18, 12, 0 0 1
20.72, 30, 1 0 0
22.48, 19, 0 0 2
29.46, 13, 1 1 0
30.75, 10, 1 0 2
31.61, 100, 1 1 1
40.15, 21, 1 0 3
42.15, 69, 2 0 0
45.59, 85, 1 1 3
59.62, 12, 2 1 3
61.14, 22, 2 2 0
64.06, 14, 2 0 4

```
7
Lattice="4.287 0.000 0.000 0.000 4.287 0.000 0.000 0.000 7.911" Properties=species:S:1:pos:R:3 pbc="T T T"
Na 0.000 0.000 0.000
Ga 0.000 2.144 2.708
Ga 0.000 2.144 5.203
Ga 2.144 0.000 2.708
Ga 2.144 0.000 5.203
Ga 2.144 2.144 1.246
Ga 2.144 2.144 6.665
```